(1)
Starting from DFT lattice parameters and positions (GGA-PBE), the X-ray diffraction stick pattern of La4Y2Er3 was simulated for Cu Kα, 1.54184 Å.

Largest 6 diffraction maxima, by intensity, 5 to 70 degrees two-theta:
2θ/deg  I (rel.)  (hkl)
31.4  100.0  0 2 -3
30.9  73.0  0 1 3
30.9  59.1  0 3 0
31.1  41.6  2 -1 2
30.2  40.5  2 1 -1
55.5  16.9  0 5 -3

Atomic structure:
abc: 7.1214 9.0028 9.9412
angles: 99.62 90.50 102.09
Atoms (fractional coordinates):
La 0.0251 0.1802 0.0950
La 0.1147 0.4987 0.6821
La 0.3099 0.1753 0.7738
La 0.4497 0.8348 0.5503
La 0.5503 0.1652 0.4497
La 0.6901 0.8247 0.2262
La 0.8853 0.5013 0.3179
La 0.9749 0.8198 0.9050
Y 0.3719 0.4739 0.3418
Y 0.4764 0.8294 0.8885
Y 0.5236 0.1706 0.1115
Y 0.6281 0.5261 0.6582
Er 0.0428 0.1626 0.4400
Er 0.2077 0.8610 0.2386
Er 0.2595 0.5269 0.0253
Er 0.7405 0.4731 0.9747
Er 0.7923 0.1390 0.7614
Er 0.9572 0.8374 0.5600


(2)
Starting from DFT lattice parameters and positions (GGA-PBE), the X-ray diffraction stick pattern of La4Y7Er was simulated for Cu Kα, 1.54184 Å.

Largest 6 diffraction maxima, by intensity, 5 to 70 degrees two-theta:
2θ/deg  I (rel.)  (hkl)
30.2  100.0  1 0 4
35.0  66.6  0 1 8
30.4  32.5  0 0 12
59.9  27.5  1 1 12
50.3  23.7  1 1 0
50.5  23.1  1 0 16

Atomic structure:
abc: 3.6294 3.6294 35.3180
angles: 90.00 90.00 120.00
Atoms (fractional coordinates):
La 0.3333 0.6667 0.1655
La 0.3333 0.6667 0.4161
La 0.6667 0.3333 0.5839
La 0.6667 0.3333 0.8345
Y 0.0000 0.0000 0.2503
Y 0.0000 0.0000 0.5000
Y 0.0000 0.0000 0.7497
Y 0.3333 0.6667 0.6684
Y 0.3333 0.6667 0.9194
Y 0.6667 0.3333 0.0806
Y 0.6667 0.3333 0.3316
Er 0.0000 0.0000 0.0000


(3)
Starting from DFT lattice parameters and positions (GGA-PBE), the X-ray diffraction stick pattern of La2YEr2 was simulated for Cu Kα, 1.54184 Å.

Largest 6 diffraction maxima, by intensity, 5 to 70 degrees two-theta:
2θ/deg  I (rel.)  (hkl)
30.4  100.0  1 5 0
30.6  79.8  1 1 1
32.8  74.6  2 0 0
61.4  27.0  1 5 2
47.0  24.4  2 4 1
40.3  19.0  0 6 1

Atomic structure:
abc: 5.4608 17.4146 3.5218
angles: 90.00 90.00 90.00
Atoms (fractional coordinates):
La 0.0000 0.2000 0.0000
La 0.0000 0.8000 0.0000
La 0.5000 0.3000 0.0000
La 0.5000 0.7000 0.0000
Y 0.0000 0.0000 0.0000
Y 0.5000 0.5000 0.0000
Er 0.0000 0.4000 0.5000
Er 0.0000 0.6000 0.5000
Er 0.5000 0.1000 0.5000
Er 0.5000 0.9000 0.5000